1.
For ErSiPt3, a GGA-PBE-relaxed structure gives the calculated powder X-ray diffraction pattern in this record (Cu Kα X-rays).
Kinematic intensities with the Lorentz-polarization factor, no thermal factor.

Cell lengths 5.657, 4.540, 7.114 Å; angles 90.00, 90.00, 90.00 degrees
Space group Pmn2_1 (No. 31)
Symmetry-distinct sites (fractional):
1 Er 0.000 0.033 0.000 [2 per cell]
2 Si 0.000 0.645 0.525 [2 per cell]
3 Pt 0.000 0.123 0.413 [2 per cell]
4 Pt 0.243 0.602 0.229 [4 per cell]

The 10 most intense peaks (2θ = 10–90°), by intensity:
- 32.0 deg, rel. 100, (0 1 2)
- 40.8 deg, rel. 86, (2 0 2)
- 37.5 deg, rel. 76, (2 1 0)
- 39.6 deg, rel. 40, (2 1 1)
- 41.8 deg, rel. 35, (0 2 1)
- 65.8 deg, rel. 26, (2 2 3)
- 23.2 deg, rel. 23, (0 1 1)
- 43.0 deg, rel. 22, (0 1 3)
- 75.3 deg, rel. 17, (4 1 2)
- 65.3 deg, rel. 17, (2 1 4)


2.
For HfBe8Tc3, a GGA-PBE-relaxed structure gives the calculated powder X-ray diffraction pattern in this record (Cu Kα X-rays).
Kinematic intensities with the Lorentz-polarization factor, no thermal factor.

Cell lengths 4.4433, 4.4433, 7.3507 Å; angles 90.00, 90.00, 120.00 degrees
Space group P3m1 (No. 156)
Symmetry-distinct sites (fractional):
1 Hf 0.0000 0.0000 0.0000 [1 per cell]
2 Be 0.1654 0.3307 0.6782 [3 per cell]
3 Be 0.3333 0.6667 0.4386 [1 per cell]
4 Be 0.3333 0.6667 0.9318 [1 per cell]
5 Be 0.5026 0.0051 0.1978 [3 per cell]
6 Tc 0.0000 0.0000 0.3779 [1 per cell]
7 Tc 0.6667 0.3333 0.5003 [1 per cell]
8 Tc 0.6667 0.3333 0.8592 [1 per cell]

The 10 most intense peaks (2θ = 10–90°), by intensity:
- 43.8 deg, rel. 100, (1 0 3)
- 23.1 deg, rel. 88, (1 0 0)
- 40.6 deg, rel. 88, (1 1 0)
- 26.1 deg, rel. 71, (0 1 1)
- 47.8 deg, rel. 59, (1 1 2)
- 24.2 deg, rel. 46, (0 0 2)
- 33.7 deg, rel. 42, (0 1 2)
- 76.1 deg, rel. 38, (2 1 3)
- 61.3 deg, rel. 30, (0 2 3)
- 68.3 deg, rel. 21, (1 0 5)


3.
For Ba4CdPd, a GGA-PBE-relaxed structure gives the calculated powder X-ray diffraction pattern in this record (Cu Kα X-rays).
Kinematic intensities with the Lorentz-polarization factor, no thermal factor.

Cell lengths 10.437, 17.140, 7.998 Å; angles 90.00, 125.78, 90.00 degrees
Space group C2/c (No. 15)
Symmetry-distinct sites (fractional):
1 Ba 0.140 0.206 0.134 [8 per cell]
2 Ba 0.250 0.039 0.731 [8 per cell]
3 Cd 0.000 0.372 0.750 [4 per cell]
4 Pd 0.000 0.069 0.250 [4 per cell]

The 10 most intense peaks (2θ = 10–90°), by intensity:
- 27.0 deg, rel. 100, (2 4 -1)
- 27.5 deg, rel. 49, (0 0 2)
- 44.0 deg, rel. 45, (4 2 0)
- 31.0 deg, rel. 43, (2 4 -2)
- 24.9 deg, rel. 41, (0 4 1)
- 17.1 deg, rel. 38, (0 2 1)
- 20.0 deg, rel. 36, (2 2 -1)
- 33.0 deg, rel. 36, (2 2 1)
- 26.6 deg, rel. 35, (3 1 -1)
- 34.5 deg, rel. 31, (4 0 -2)


4.
For Sm5Co4, a GGA-PBE-relaxed structure gives the calculated powder X-ray diffraction pattern in this record (Cu Kα X-rays).
Kinematic intensities with the Lorentz-polarization factor, no thermal factor.

Cell lengths 11.290, 3.919, 9.673 Å; angles 90.00, 110.20, 90.00 degrees
Space group C2/m (No. 12)
Symmetry-distinct sites (fractional):
1 Sm 0.000 0.000 0.000 [2 per cell]
2 Sm 0.109 0.000 0.397 [4 per cell]
3 Sm 0.230 0.000 0.818 [4 per cell]
4 Co 0.037 0.500 0.820 [4 per cell]
5 Co 0.092 0.500 0.610 [4 per cell]

The 10 most intense peaks (2θ = 10–90°), by intensity:
- 33.0 deg, rel. 100, (3 1 -1)
- 33.1 deg, rel. 92, (1 1 2)
- 36.1 deg, rel. 50, (1 1 -3)
- 28.5 deg, rel. 46, (2 0 -3)
- 31.8 deg, rel. 42, (4 0 -1)
- 30.0 deg, rel. 39, (2 0 2)
- 39.3 deg, rel. 38, (3 1 -3)
- 46.3 deg, rel. 37, (0 2 0)
- 62.2 deg, rel. 27, (7 1 -2)
- 60.4 deg, rel. 25, (3 1 4)


5.
For Cs3CdHg2F9, a GGA-PBE-relaxed structure gives the calculated powder X-ray diffraction pattern in this record (Cu Kα X-rays).
Kinematic intensities with the Lorentz-polarization factor, no thermal factor.

Cell lengths 6.5489, 6.5489, 8.0266 Å; angles 90.00, 90.00, 120.00 degrees
Space group P-3m1 (No. 164)
Symmetry-distinct sites (fractional):
1 Cs 0.0000 0.0000 0.0000 [1 per cell]
2 Cs 0.3333 0.6667 0.6688 [2 per cell]
3 Cd 0.0000 0.0000 0.5000 [1 per cell]
4 Hg 0.3333 0.6667 0.1716 [2 per cell]
5 F 0.0000 0.5000 0.0000 [3 per cell]
6 F 0.1635 0.3270 0.3377 [6 per cell]

The 10 most intense peaks (2θ = 10–90°), by intensity:
- 27.2 deg, rel. 100, (1 1 0)
- 48.1 deg, rel. 43, (3 0 0)
- 38.9 deg, rel. 32, (2 0 2)
- 77.0 deg, rel. 22, (4 1 0)
- 56.2 deg, rel. 21, (2 2 0)
- 63.5 deg, rel. 19, (3 1 2)
- 89.8 deg, rel. 12, (3 3 0)
- 70.4 deg, rel. 7, (0 4 2)
- 19.2 deg, rel. 7, (1 0 1)
- 83.5 deg, rel. 3, (4 0 4)


6.
For P2HRhCl, a GGA-PBE-relaxed structure gives the calculated powder X-ray diffraction pattern in this record (Cu Kα X-rays).
Kinematic intensities with the Lorentz-polarization factor, no thermal factor.

Cell lengths 3.706, 3.706, 4.784 Å; angles 90.00, 90.00, 90.00 degrees
Space group P4/mmm (No. 123)
Symmetry-distinct sites (fractional):
1 P 0.000 0.500 0.000 [2 per cell]
2 H 0.000 0.000 0.000 [1 per cell]
3 Rh 0.500 0.500 0.500 [1 per cell]
4 Cl 0.000 0.000 0.500 [1 per cell]

The 10 most intense peaks (2θ = 10–90°), by intensity:
- 39.2 deg, rel. 100, (1 1 1)
- 37.6 deg, rel. 29, (0 0 2)
- 63.5 deg, rel. 26, (2 0 2)
- 49.2 deg, rel. 26, (2 0 0)
- 30.5 deg, rel. 25, (1 0 1)
- 18.5 deg, rel. 25, (0 0 1)
- 68.9 deg, rel. 23, (1 1 3)
- 85.3 deg, rel. 22, (3 1 1)
- 24.0 deg, rel. 20, (1 0 0)
- 84.3 deg, rel. 13, (2 2 2)


7.
For NaTl2SbTe4, a GGA-PBE-relaxed structure gives the calculated powder X-ray diffraction pattern in this record (Cu Kα X-rays).
Kinematic intensities with the Lorentz-polarization factor, no thermal factor.

Cell lengths 9.062, 9.070, 12.767 Å; angles 90.00, 90.00, 90.00 degrees
Space group Imma (No. 74)
Symmetry-distinct sites (fractional):
1 Na 0.250 0.250 0.250 [4 per cell]
2 Tl 0.000 0.000 0.000 [4 per cell]
3 Tl 0.250 0.250 0.750 [4 per cell]
4 Sb 0.000 0.000 0.500 [4 per cell]
5 Te 0.000 0.004 0.742 [8 per cell]
6 Te 0.233 0.250 0.498 [8 per cell]

The 10 most intense peaks (2θ = 10–90°), by intensity:
- 27.8 deg, rel. 100, (2 2 0)
- 39.9 deg, rel. 76, (2 2 4)
- 28.0 deg, rel. 49, (0 0 4)
- 49.3 deg, rel. 41, (0 4 4)
- 39.8 deg, rel. 38, (0 4 0)
- 65.1 deg, rel. 34, (2 6 0)
- 72.2 deg, rel. 25, (2 6 4)
- 12.0 deg, rel. 21, (0 1 1)
- 65.3 deg, rel. 17, (2 2 8)
- 23.0 deg, rel. 17, (0 1 3)


8.
For Ce3PrTl3, a GGA-PBE-relaxed structure gives the calculated powder X-ray diffraction pattern in this record (Cu Kα X-rays).
Kinematic intensities with the Lorentz-polarization factor, no thermal factor.

Cell lengths 9.6693, 9.6693, 5.1238 Å; angles 90.00, 90.00, 120.00 degrees
Space group P6_3/m (No. 176)
Symmetry-distinct sites (fractional):
1 Ce 0.0015 0.7773 0.2500 [6 per cell]
2 Pr 0.3333 0.6667 0.2500 [2 per cell]
3 Tl 0.0693 0.6151 0.7500 [6 per cell]

The 10 most intense peaks (2θ = 10–90°), by intensity:
- 33.3 deg, rel. 100, (1 2 1)
- 28.2 deg, rel. 24, (1 2 0)
- 35.0 deg, rel. 22, (0 0 2)
- 61.7 deg, rel. 17, (1 2 3)
- 62.4 deg, rel. 16, (4 1 2)
- 49.9 deg, rel. 15, (4 1 0)
- 45.6 deg, rel. 13, (1 2 2)
- 61.3 deg, rel. 10, (2 4 1)
- 69.9 deg, rel. 7, (6 0 1)
- 82.9 deg, rel. 7, (5 3 1)